1.
# PrAl12Co6
Simulated XRD peak list, λ = 1.5418 Å (Cu Kα). Input: a cell relaxed with PBE.

Cell and atoms:
Lattice parameters (Å, degrees): 6.9222 6.9222 6.9222 105.05 105.05 105.05
Fractional coordinates of all 19 atoms:
Pr  0.0000  0.0000  0.0000
Al  0.1220  0.5000  0.8780
Al  0.1220  0.8780  0.5000
Al  0.1557  0.4263  0.4263
Al  0.4263  0.1557  0.4263
Al  0.4263  0.4263  0.1557
Al  0.5000  0.1220  0.8780
Al  0.5000  0.8780  0.1220
Al  0.5737  0.5737  0.8443
Al  0.5737  0.8443  0.5737
Al  0.8443  0.5737  0.5737
Al  0.8780  0.1220  0.5000
Al  0.8780  0.5000  0.1220
Co  0.2645  0.2645  0.6808
Co  0.2645  0.6808  0.2645
Co  0.3192  0.7355  0.7355
Co  0.6808  0.2645  0.2645
Co  0.7355  0.3192  0.7355
Co  0.7355  0.7355  0.3192

Main lines, sorted by position (2θ = 10–80°):
2theta, I/Imax
23.35, 25
27.01, 100
32.60, 33
32.93, 45
35.70, 41
36.31, 32
47.02, 22
47.76, 39
49.80, 21
52.92, 33

=====

2.
# Pr2Al19Co6
Simulated XRD peak list, λ = 1.5418 Å (Cu Kα). Input: a cell relaxed with PBE.

Cell and atoms:
Lattice parameters (Å, degrees): 10.6988 10.6988 8.2296 101.56 101.56 68.93
Fractional coordinates of all 54 atoms:
Pr  0.2207  0.2207  0.2274
Pr  0.2218  0.2218  0.7463
Pr  0.7782  0.7782  0.2537
Pr  0.7793  0.7793  0.7726
Al  0.0029  0.5016  0.2346
Al  0.0192  0.6853  0.5517
Al  0.0400  0.6886  0.0570
Al  0.0620  0.8299  0.3525
Al  0.0653  0.8306  0.8448
Al  0.1694  0.9347  0.1552
Al  0.1701  0.9380  0.6475
Al  0.2022  0.4370  0.5356
Al  0.2299  0.4536  0.0524
Al  0.2989  0.6494  0.6384
Al  0.3114  0.9600  0.9430
Al  0.3147  0.9808  0.4483
Al  0.3300  0.6700  0.0000
Al  0.3506  0.7011  0.3616
Al  0.4139  0.4139  0.8148
Al  0.4205  0.4205  0.3631
Al  0.4370  0.2022  0.5356
Al  0.4536  0.2299  0.0524
Al  0.4984  0.9971  0.7654
Al  0.5016  0.0029  0.2346
Al  0.5464  0.7701  0.9476
Al  0.5630  0.7978  0.4644
Al  0.5795  0.5795  0.6369
Al  0.5861  0.5861  0.1852
Al  0.6494  0.2989  0.6384
Al  0.6700  0.3300  0.0000
Al  0.6853  0.0192  0.5517
Al  0.6886  0.0400  0.0570
Al  0.7011  0.3506  0.3616
Al  0.7701  0.5464  0.9476
Al  0.7978  0.5630  0.4644
Al  0.8299  0.0620  0.3525
Al  0.8306  0.0653  0.8448
Al  0.9347  0.1694  0.1552
Al  0.9380  0.1701  0.6475
Al  0.9600  0.3114  0.9430
Al  0.9808  0.3147  0.4483
Al  0.9971  0.4984  0.7654
Co  0.0613  0.0613  0.4051
Co  0.0613  0.0613  0.9059
Co  0.1798  0.5800  0.8120
Co  0.1857  0.5839  0.3314
Co  0.4161  0.8143  0.6686
Co  0.4200  0.8202  0.1880
Co  0.5800  0.1798  0.8120
Co  0.5839  0.1857  0.3314
Co  0.8143  0.4161  0.6686
Co  0.8202  0.4200  0.1880
Co  0.9387  0.9387  0.0941
Co  0.9387  0.9387  0.5949

Main lines, sorted by position (2θ = 10–80°):
2theta, I/Imax
22.17, 56
22.63, 57
25.49, 79
30.47, 53
30.70, 55
30.89, 46
37.25, 100
37.50, 46
44.01, 87
44.92, 64

=====

3.
# PrAl8Co2
Simulated XRD peak list, λ = 1.5418 Å (Cu Kα). Input: a cell relaxed with PBE.

Cell and atoms:
Lattice parameters (Å, degrees): 12.4775 14.4277 4.0102 90.00 90.00 90.00
Fractional coordinates of all 44 atoms:
Pr  0.1590  0.1810  0.0000
Pr  0.3410  0.6810  0.0000
Pr  0.6590  0.3190  0.0000
Pr  0.8410  0.8190  0.0000
Al  0.0000  0.0000  0.0000
Al  0.0000  0.5000  0.5000
Al  0.0267  0.8682  0.5000
Al  0.0465  0.3211  0.5000
Al  0.0962  0.7473  0.0000
Al  0.1592  0.4559  0.0000
Al  0.1588  0.6203  0.5000
Al  0.1693  0.0077  0.5000
Al  0.2366  0.8281  0.5000
Al  0.2634  0.3281  0.5000
Al  0.3307  0.5077  0.5000
Al  0.3412  0.1203  0.5000
Al  0.3408  0.9559  0.0000
Al  0.4038  0.2473  0.0000
Al  0.4535  0.8211  0.5000
Al  0.4733  0.3682  0.5000
Al  0.5000  0.0000  0.5000
Al  0.5000  0.5000  0.0000
Al  0.5267  0.6318  0.5000
Al  0.5465  0.1789  0.5000
Al  0.5962  0.7527  0.0000
Al  0.6592  0.0441  0.0000
Al  0.6588  0.8797  0.5000
Al  0.6693  0.4923  0.5000
Al  0.7366  0.6719  0.5000
Al  0.7634  0.1719  0.5000
Al  0.8307  0.9923  0.5000
Al  0.8412  0.3797  0.5000
Al  0.8408  0.5441  0.0000
Al  0.9038  0.2527  0.0000
Al  0.9535  0.6789  0.5000
Al  0.9733  0.1318  0.5000
Co  0.0348  0.5948  0.0000
Co  0.1520  0.9037  0.0000
Co  0.3480  0.4037  0.0000
Co  0.4652  0.0948  0.0000
Co  0.5348  0.9052  0.0000
Co  0.6520  0.5963  0.0000
Co  0.8480  0.0963  0.0000
Co  0.9652  0.4052  0.0000

Main lines, sorted by position (2θ = 10–80°):
2theta, I/Imax
22.20, 97
23.35, 25
25.71, 31
28.37, 31
34.20, 86
36.29, 100
37.04, 39
44.13, 38
45.22, 52
46.40, 36

=====

4.
# Pr2AlCo2
Simulated XRD peak list, λ = 1.5418 Å (Cu Kα). Input: a cell relaxed with PBE.

Cell and atoms:
Lattice parameters (Å, degrees): 4.0198 5.6271 8.9609 90.00 90.00 90.00
Fractional coordinates of all 10 atoms:
Pr  0.0000  0.0000  0.1982
Pr  0.0000  0.0000  0.8018
Pr  0.5000  0.5000  0.3018
Pr  0.5000  0.5000  0.6982
Al  0.0000  0.5000  0.0000
Al  0.5000  0.0000  0.5000
Co  0.0000  0.2696  0.5000
Co  0.0000  0.7304  0.5000
Co  0.5000  0.2304  0.0000
Co  0.5000  0.7696  0.0000

Main lines, sorted by position (2θ = 10–80°):
2theta, I/Imax
18.62, 13
27.26, 50
33.95, 100
37.51, 41
37.76, 37
40.41, 34
45.11, 21
58.05, 19
60.24, 18
66.03, 25

=====

5.
# PrAlCo4
Simulated XRD peak list, λ = 1.5418 Å (Cu Kα). Input: a cell relaxed with PBE.

Cell and atoms:
Lattice parameters (Å, degrees): 5.1753 5.1753 3.8652 90.00 90.00 120.00
Fractional coordinates of all 6 atoms:
Pr  0.0000  0.0000  0.0000
Al  0.3333  0.6667  0.0000
Co  0.5041  0.0082  0.5000
Co  0.5041  0.4959  0.5000
Co  0.6667  0.3333  0.0000
Co  0.9918  0.4959  0.5000

Main lines, sorted by position (2θ = 10–80°):
2theta, I/Imax
30.54, 73
34.67, 29
40.24, 54
42.02, 100
47.02, 24
59.59, 22
59.72, 12
63.57, 26
67.18, 24
73.15, 18

=====

6.
# Pr2Al3Co14
Simulated XRD peak list, λ = 1.5418 Å (Cu Kα). Input: a cell relaxed with PBE.

Cell and atoms:
Lattice parameters (Å, degrees): 6.3967 6.3967 6.3967 82.62 82.62 82.62
Fractional coordinates of all 19 atoms:
Pr  0.1565  0.1565  0.1565
Pr  0.8435  0.8435  0.8435
Al  0.0000  0.5000  0.5000
Al  0.5000  0.0000  0.5000
Al  0.5000  0.5000  0.0000
Co  0.1556  0.1556  0.6609
Co  0.1556  0.6609  0.1556
Co  0.2142  0.5000  0.7858
Co  0.2142  0.7858  0.5000
Co  0.3391  0.8444  0.8444
Co  0.4078  0.4078  0.4078
Co  0.5000  0.2142  0.7858
Co  0.5000  0.7858  0.2142
Co  0.5922  0.5922  0.5922
Co  0.6609  0.1556  0.1556
Co  0.7858  0.2142  0.5000
Co  0.7858  0.5000  0.2142
Co  0.8444  0.3391  0.8444
Co  0.8444  0.8444  0.3391

Main lines, sorted by position (2θ = 10–80°):
2theta, I/Imax
28.32, 17
30.23, 32
36.87, 48
38.01, 47
42.83, 55
43.06, 100
43.73, 30
43.85, 18
62.91, 21
78.45, 24

=====

7.
# AlCoPt6
Simulated XRD peak list, λ = 1.5418 Å (Cu Kα). Input: a cell relaxed with PBE.

Cell and atoms:
Lattice parameters (Å, degrees): 3.9059 3.9059 7.8184 90.00 90.00 90.00
Fractional coordinates of all 8 atoms:
Al  0.0000  0.0000  0.0000
Co  0.0000  0.0000  0.5000
Pt  0.0000  0.5000  0.2518
Pt  0.0000  0.5000  0.7482
Pt  0.5000  0.0000  0.2518
Pt  0.5000  0.0000  0.7482
Pt  0.5000  0.5000  0.0000
Pt  0.5000  0.5000  0.5000

Main lines, sorted by position (2θ = 10–80°):
2theta, I/Imax
11.32, 1
22.76, 18
32.41, 15
39.97, 100
46.49, 49
52.36, 8
57.81, 6
67.85, 32
72.59, 4
77.21, 3

=====

8.
# AlCo2Pt
Simulated XRD peak list, λ = 1.5418 Å (Cu Kα). Input: a cell relaxed with PBE.

Cell and atoms:
Lattice parameters (Å, degrees): 3.7864 3.7864 7.1200 90.00 90.00 90.00
Fractional coordinates of all 8 atoms:
Al  0.0000  0.0000  0.0000
Al  0.5000  0.5000  0.5000
Co  0.0000  0.0000  0.5000
Co  0.0000  0.5000  0.2500
Co  0.5000  0.0000  0.7500
Co  0.5000  0.5000  0.0000
Pt  0.0000  0.5000  0.7500
Pt  0.5000  0.0000  0.2500

Main lines, sorted by position (2θ = 10–80°):
2theta, I/Imax
25.01, 23
26.66, 51
33.47, 22
42.23, 100
45.08, 13
48.06, 34
51.33, 14
54.93, 11
55.80, 14
72.95, 19

=====

9.
# AlCoPt
Simulated XRD peak list, λ = 1.5418 Å (Cu Kα). Input: a cell relaxed with PBE.

Cell and atoms:
Lattice parameters (Å, degrees): 4.1490 4.1490 2.7419 90.00 90.00 120.00
Fractional coordinates of all 3 atoms:
Al  0.0000  0.0000  0.0000
Co  0.6667  0.3333  0.2240
Pt  0.3333  0.6667  0.6661

Main lines, sorted by position (2θ = 10–80°):
2theta, I/Imax
24.78, 78
32.66, 8
41.42, 100
43.63, 62
50.82, 12
55.55, 12
61.73, 31
69.17, 10
74.01, 12
78.61, 31

=====

10.
# Pu2Al9Co3
Simulated XRD peak list, λ = 1.5418 Å (Cu Kα). Input: a cell relaxed with PBE.

Cell and atoms:
Lattice parameters (Å, degrees): 7.4506 7.4506 10.2697 111.56 111.56 59.45
Fractional coordinates of all 28 atoms:
Pu  0.0879  0.2521  0.2491
Pu  0.2521  0.0879  0.7491
Pu  0.7479  0.9121  0.2509
Pu  0.9121  0.7479  0.7509
Al  0.0198  0.8609  0.0728
Al  0.1391  0.9802  0.4272
Al  0.1895  0.3586  0.5687
Al  0.2080  0.5800  0.2523
Al  0.3140  0.4873  0.9517
Al  0.3586  0.1895  0.0687
Al  0.3613  0.6387  0.7500
Al  0.4200  0.7920  0.2477
Al  0.4873  0.3140  0.4517
Al  0.5127  0.6860  0.5483
Al  0.5800  0.2080  0.7523
Al  0.6387  0.3613  0.2500
Al  0.6414  0.8105  0.9313
Al  0.6860  0.5127  0.0483
Al  0.7920  0.4200  0.7477
Al  0.8105  0.6414  0.4313
Al  0.8609  0.0198  0.5728
Al  0.9802  0.1391  0.9272
Co  0.0000  0.5000  0.0000
Co  0.1583  0.6696  0.4976
Co  0.3304  0.8417  0.0024
Co  0.5000  0.0000  0.5000
Co  0.6696  0.1583  0.9976
Co  0.8417  0.3304  0.5024

Main lines, sorted by position (2θ = 10–80°):
2theta, I/Imax
14.17, 40
15.13, 38
25.76, 100
25.95, 49
30.69, 30
37.69, 52
37.84, 89
38.71, 37
41.89, 35
42.26, 70

=====

11.
# U3Al3CoRh2
Simulated XRD peak list, λ = 1.5418 Å (Cu Kα). Input: a cell relaxed with PBE.

Cell and atoms:
Lattice parameters (Å, degrees): 6.7136 6.7136 4.1337 90.00 90.00 120.00
Fractional coordinates of all 9 atoms:
U  0.0172  0.5778  0.0000
U  0.4222  0.4394  0.0000
U  0.5606  0.9828  0.0000
Al  0.0018  0.2377  0.5000
Al  0.2358  0.9982  0.5000
Al  0.7623  0.7642  0.5000
Co  0.3333  0.6667  0.5000
Rh  0.0000  0.0000  0.0000
Rh  0.6667  0.3333  0.5000

Main lines, sorted by position (2θ = 10–80°):
2theta, I/Imax
21.50, 36
26.54, 26
30.76, 42
34.42, 63
37.83, 100
41.07, 24
43.80, 22
46.84, 24
57.12, 19
61.75, 29